Calculated powder diffraction line list
Compound: Li4MnCo3O8
Radiation: Cu Kα X-rays
Structure: DFT lattice parameters and positions (GGA+U)
No peak broadening, texture or thermal motion is included.

Cell and atoms:
a b c (Å): 3.0468 8.0502 12.0399
angles (deg): 90.83 93.57 90.67
Space group P-1 (No. 2)
One atom of each set of equivalent atoms:
Li  0.0000  0.0000  0.0000 (multiplicity 1)
Li  0.0000  0.0000  0.5000 (multiplicity 1)
Li  0.0085  0.5007  0.2520 (multiplicity 2)
Li  0.4915  0.7447  0.8756 (multiplicity 2)
Li  0.5001  0.2525  0.6214 (multiplicity 2)
Mn  0.0281  0.0015  0.2518 (multiplicity 2)
Co  0.0000  0.5000  0.0000 (multiplicity 1)
Co  0.0000  0.5000  0.5000 (multiplicity 1)
Co  0.4712  0.2500  0.8745 (multiplicity 2)
Co  0.4880  0.7470  0.6228 (multiplicity 2)
O  0.0054  0.7380  0.0050 (multiplicity 2)
O  0.0257  0.7358  0.5057 (multiplicity 2)
O  0.0437  0.7610  0.2450 (multiplicity 2)
O  0.0508  0.2434  0.2587 (multiplicity 2)
O  0.4428  0.0106  0.8696 (multiplicity 2)
O  0.4620  0.5114  0.6173 (multiplicity 2)
O  0.4760  0.4879  0.8808 (multiplicity 2)
O  0.4922  0.0148  0.3735 (multiplicity 2)

Largest 8 diffraction maxima, sorted by position, 2θ = 10–90°:
2θ (°)	d (Å)	I_rel
18.3	4.850	100
34.0	2.635	19
35.9	2.501	13
36.9	2.437	17
40.9	2.207	31
43.7	2.073	24
45.1	2.012	22
60.9	1.520	8

***

Calculated powder diffraction line list
Compound: Li7Mn4CoO12
Radiation: Cu Kα X-rays
Structure: DFT lattice parameters and positions (GGA+U)
No peak broadening, texture or thermal motion is included.

Cell and atoms:
a b c (Å): 2.9740 5.0883 15.0416
angles (deg): 96.22 93.64 103.56
Space group P1 (No. 1)
One atom of each set of equivalent atoms:
Li  0.0000  0.0000  0.0000 (multiplicity 1)
Li  0.0129  0.7564  0.2502 (multiplicity 1)
Li  0.3001  0.5723  0.0713 (multiplicity 1)
Li  0.3344  0.0820  0.5823 (multiplicity 1)
Li  0.6628  0.9175  0.4134 (multiplicity 1)
Li  0.6978  0.4263  0.9265 (multiplicity 1)
Li  0.9862  0.2363  0.7490 (multiplicity 1)
Mn  0.3437  0.8333  0.8391 (multiplicity 1)
Mn  0.6578  0.1654  0.1608 (multiplicity 1)
Mn  0.6784  0.6706  0.6657 (multiplicity 1)
Mn  0.9951  0.4959  0.4964 (multiplicity 1)
Co  0.3133  0.3243  0.3304 (multiplicity 1)
O  0.0124  0.6020  0.3737 (multiplicity 1)
O  0.0468  0.9164  0.1311 (multiplicity 1)
O  0.2890  0.4193  0.2096 (multiplicity 1)
O  0.3013  0.2171  0.4503 (multiplicity 1)
O  0.3210  0.7036  0.9471 (multiplicity 1)
O  0.3670  0.9452  0.7122 (multiplicity 1)
O  0.6382  0.0603  0.2872 (multiplicity 1)
O  0.6785  0.2954  0.0528 (multiplicity 1)
O  0.6975  0.7789  0.5430 (multiplicity 1)
O  0.7120  0.5763  0.7906 (multiplicity 1)
O  0.9538  0.0815  0.8690 (multiplicity 1)
O  0.9757  0.3866  0.6196 (multiplicity 1)

Largest 8 diffraction maxima, sorted by position, 2θ = 10–90°:
2θ (°)	d (Å)	I_rel
18.3	4.847	100
34.4	2.606	18
36.2	2.482	11
36.6	2.455	12
41.3	2.188	34
44.2	2.049	28
44.5	2.036	28
64.0	1.454	10

***

Calculated powder diffraction line list
Compound: Li7Mn2Co3O12
Radiation: Cu Kα X-rays
Structure: DFT lattice parameters and positions (GGA+U)
No peak broadening, texture or thermal motion is included.

Cell and atoms:
a b c (Å): 2.9607 5.1055 15.0792
angles (deg): 96.03 94.72 104.82
Space group P1 (No. 1)
One atom of each set of equivalent atoms:
Li  0.0000  0.0000  0.0000 (multiplicity 1)
Li  0.0044  0.2575  0.7477 (multiplicity 1)
Li  0.2978  0.8159  0.8252 (multiplicity 1)
Li  0.3256  0.3278  0.3346 (multiplicity 1)
Li  0.6562  0.6510  0.6676 (multiplicity 1)
Li  0.6607  0.1645  0.1670 (multiplicity 1)
Li  0.9951  0.4917  0.5008 (multiplicity 1)
Mn  0.6553  0.4127  0.9087 (multiplicity 1)
Mn  0.9899  0.7412  0.2512 (multiplicity 1)
Co  0.3138  0.5700  0.0826 (multiplicity 1)
Co  0.3341  0.0835  0.5895 (multiplicity 1)
Co  0.6669  0.9120  0.4207 (multiplicity 1)
O  0.0038  0.3420  0.6198 (multiplicity 1)
O  0.0051  0.6325  0.3718 (multiplicity 1)
O  0.0333  0.1606  0.8795 (multiplicity 1)
O  0.2844  0.6661  0.9533 (multiplicity 1)
O  0.2935  0.4640  0.2077 (multiplicity 1)
O  0.3113  0.1829  0.4663 (multiplicity 1)
O  0.3173  0.9565  0.6924 (multiplicity 1)
O  0.6362  0.8054  0.5375 (multiplicity 1)
O  0.6509  0.3068  0.0379 (multiplicity 1)
O  0.6673  0.5372  0.7996 (multiplicity 1)
O  0.6899  0.0204  0.2964 (multiplicity 1)
O  0.9906  0.8463  0.1251 (multiplicity 1)

Largest 8 diffraction maxima, sorted by position, 2θ = 10–90°:
2θ (°)	d (Å)	I_rel
11.9	7.449	10
18.3	4.841	100
35.0	2.562	16
36.2	2.483	24
42.1	2.146	33
44.0	2.060	28
44.1	2.053	27
62.6	1.483	16

***

Calculated powder diffraction line list
Compound: Li7Mn4CoO12
Radiation: Cu Kα X-rays
Structure: DFT lattice parameters and positions (GGA+U)
No peak broadening, texture or thermal motion is included.

Cell and atoms:
a b c (Å): 2.9820 5.0750 14.7604
angles (deg): 81.99 86.31 86.69
Space group P1 (No. 1)
One atom of each set of equivalent atoms:
Li  0.0000  0.0000  0.0000 (multiplicity 1)
Li  0.0683  0.4068  0.8425 (multiplicity 1)
Li  0.1408  0.8180  0.6852 (multiplicity 1)
Li  0.3150  0.6546  0.3434 (multiplicity 1)
Li  0.4831  0.4799  0.9967 (multiplicity 1)
Li  0.6524  0.3314  0.6873 (multiplicity 1)
Li  0.8169  0.1573  0.3454 (multiplicity 1)
Mn  0.4056  0.0746  0.1757 (multiplicity 1)
Mn  0.5684  0.9073  0.8423 (multiplicity 1)
Mn  0.7325  0.7395  0.5111 (multiplicity 1)
Mn  0.9052  0.5750  0.1757 (multiplicity 1)
Co  0.2298  0.2405  0.5107 (multiplicity 1)
O  0.0578  0.7240  0.9143 (multiplicity 1)
O  0.0787  0.0901  0.7708 (multiplicity 1)
O  0.1806  0.5283  0.5844 (multiplicity 1)
O  0.2901  0.9526  0.4340 (multiplicity 1)
O  0.3384  0.3597  0.2542 (multiplicity 1)
O  0.4626  0.7837  0.1015 (multiplicity 1)
O  0.5203  0.1760  0.9213 (multiplicity 1)
O  0.6180  0.6386  0.7631 (multiplicity 1)
O  0.6674  0.0371  0.5828 (multiplicity 1)
O  0.8033  0.4505  0.4337 (multiplicity 1)
O  0.8271  0.8572  0.2552 (multiplicity 1)
O  0.9748  0.2903  0.0989 (multiplicity 1)

Largest 8 diffraction maxima, sorted by position, 2θ = 10–90°:
2θ (°)	d (Å)	I_rel
18.2	4.864	100
34.3	2.615	18
36.2	2.479	12
36.5	2.460	11
41.1	2.195	35
44.3	2.046	55
61.6	1.505	17
63.8	1.460	9

***

Calculated powder diffraction line list
Compound: Li4MnCo2O7
Radiation: Cu Kα X-rays
Structure: DFT lattice parameters and positions (GGA+U)
No peak broadening, texture or thermal motion is included.

Cell and atoms:
a b c (Å): 3.0262 5.1212 17.1264
angles (deg): 85.63 88.50 75.66
Space group P-1 (No. 2)
One atom of each set of equivalent atoms:
Li  0.0000  0.0000  0.0000 (multiplicity 1)
Li  0.0000  0.0000  0.5000 (multiplicity 1)
Li  0.1480  0.7167  0.2868 (multiplicity 2)
Li  0.2856  0.4218  0.5720 (multiplicity 2)
Li  0.4299  0.1425  0.8559 (multiplicity 2)
Mn  0.2936  0.4276  0.0733 (multiplicity 2)
Co  0.1373  0.7145  0.7817 (multiplicity 2)
Co  0.4314  0.1359  0.3637 (multiplicity 2)
O  0.0388  0.8447  0.8866 (multiplicity 2)
O  0.0814  0.8834  0.3905 (multiplicity 2)
O  0.2349  0.5546  0.1782 (multiplicity 2)
O  0.2365  0.5932  0.6799 (multiplicity 2)
O  0.3566  0.2814  0.4533 (multiplicity 2)
O  0.3812  0.2989  0.9674 (multiplicity 2)
O  0.4797  0.0237  0.2580 (multiplicity 2)

Largest 8 diffraction maxima, sorted by position, 2θ = 10–90°:
2θ (°)	d (Å)	I_rel
10.4	8.538	11
18.3	4.848	100
34.3	2.614	19
35.9	2.499	13
36.8	2.439	10
41.1	2.194	35
43.7	2.072	28
45.0	2.013	25

***

Calculated powder diffraction line list
Compound: Li7Mn4CoO12
Radiation: Cu Kα X-rays
Structure: DFT lattice parameters and positions (GGA+U)
No peak broadening, texture or thermal motion is included.

Cell and atoms:
a b c (Å): 5.0756 5.2204 16.5363
angles (deg): 87.67 89.13 82.79
Space group P-1 (No. 2)
One atom of each set of equivalent atoms:
Li  0.0285  0.2731  0.4572 (multiplicity 2)
Li  0.1348  0.7352  0.3746 (multiplicity 2)
Li  0.1926  0.2474  0.2892 (multiplicity 2)
Li  0.2504  0.9985  0.7494 (multiplicity 2)
Li  0.3084  0.7485  0.2109 (multiplicity 2)
Li  0.3671  0.2650  0.1267 (multiplicity 2)
Li  0.4654  0.7476  0.0436 (multiplicity 2)
Mn  0.0816  0.0022  0.9142 (multiplicity 2)
Mn  0.1638  0.4978  0.8312 (multiplicity 2)
Mn  0.3351  0.4999  0.6662 (multiplicity 2)
Mn  0.4159  0.9992  0.5850 (multiplicity 2)
Co  0.0000  0.5000  0.0000 (multiplicity 1)
Co  0.5000  0.5000  0.5000 (multiplicity 1)
O  0.0376  0.1552  0.1817 (multiplicity 2)
O  0.0400  0.3952  0.7297 (multiplicity 2)
O  0.1340  0.6131  0.1077 (multiplicity 2)
O  0.1390  0.8442  0.6444 (multiplicity 2)
O  0.2045  0.3897  0.5643 (multiplicity 2)
O  0.2061  0.1248  0.0186 (multiplicity 2)
O  0.2951  0.6045  0.9350 (multiplicity 2)
O  0.3081  0.8518  0.4827 (multiplicity 2)
O  0.3591  0.1533  0.8542 (multiplicity 2)
O  0.3702  0.3920  0.3976 (multiplicity 2)
O  0.4589  0.6053  0.7682 (multiplicity 2)
O  0.4622  0.8469  0.3191 (multiplicity 2)

Largest 8 diffraction maxima, sorted by position, 2θ = 10–90°:
2θ (°)	d (Å)	I_rel
18.4	4.830	100
34.7	2.588	14
36.4	2.468	24
41.7	2.166	32
44.2	2.047	28
44.4	2.041	27
62.4	1.488	16
62.5	1.485	16

***

Calculated powder diffraction line list
Compound: Li6Mn3CoO10
Radiation: Cu Kα X-rays
Structure: DFT lattice parameters and positions (GGA+U)
No peak broadening, texture or thermal motion is included.

Cell and atoms:
a b c (Å): 5.1630 5.9223 6.5259
angles (deg): 104.30 96.22 108.74
Space group P1 (No. 1)
One atom of each set of equivalent atoms:
Li  0.0000  0.0000  0.0000 (multiplicity 1)
Li  0.0004  0.4908  0.9981 (multiplicity 1)
Li  0.1976  0.9012  0.3920 (multiplicity 1)
Li  0.3872  0.2937  0.8054 (multiplicity 1)
Li  0.5971  0.7031  0.1879 (multiplicity 1)
Li  0.8032  0.0954  0.5994 (multiplicity 1)
Mn  0.1941  0.3892  0.3888 (multiplicity 1)
Mn  0.3975  0.7986  0.7978 (multiplicity 1)
Mn  0.7981  0.6003  0.6002 (multiplicity 1)
Co  0.5992  0.1903  0.1883 (multiplicity 1)
O  0.1061  0.9164  0.6990 (multiplicity 1)
O  0.1188  0.4559  0.6906 (multiplicity 1)
O  0.2964  0.3553  0.1202 (multiplicity 1)
O  0.3249  0.8612  0.0841 (multiplicity 1)
O  0.4731  0.7384  0.5046 (multiplicity 1)
O  0.4878  0.2680  0.4766 (multiplicity 1)
O  0.6691  0.1334  0.8988 (multiplicity 1)
O  0.6777  0.6569  0.8739 (multiplicity 1)
O  0.9013  0.5184  0.3051 (multiplicity 1)
O  0.9104  0.0694  0.3084 (multiplicity 1)

Largest 8 diffraction maxima, sorted by position, 2θ = 10–90°:
2θ (°)	d (Å)	I_rel
18.4	4.825	100
35.1	2.555	15
36.3	2.475	12
36.5	2.464	12
42.3	2.137	33
44.1	2.054	29
44.4	2.042	28
62.8	1.479	16

***

Calculated powder diffraction line list
Compound: Li7Mn4CoO12
Radiation: Cu Kα X-rays
Structure: DFT lattice parameters and positions (GGA+U)
No peak broadening, texture or thermal motion is included.

Cell and atoms:
a b c (Å): 5.9644 6.4673 6.5250
angles (deg): 97.03 114.37 103.56
Space group P-1 (No. 2)
One atom of each set of equivalent atoms:
Li  0.0000  0.0000  0.0000 (multiplicity 1)
Li  0.2527  0.3143  0.8452 (multiplicity 2)
Li  0.2617  0.9980  0.5088 (multiplicity 2)
Li  0.2639  0.6775  0.1755 (multiplicity 2)
Mn  0.0061  0.6744  0.6754 (multiplicity 2)
Mn  0.4880  0.3288  0.3233 (multiplicity 2)
Co  0.5000  0.0000  0.0000 (multiplicity 1)
O  0.1484  0.6534  0.4451 (multiplicity 2)
O  0.1508  0.3364  0.1130 (multiplicity 2)
O  0.1515  0.9845  0.7654 (multiplicity 2)
O  0.3867  0.0187  0.2429 (multiplicity 2)
O  0.3917  0.3453  0.5758 (multiplicity 2)
O  0.3979  0.6788  0.9129 (multiplicity 2)

Largest 8 diffraction maxima, sorted by position, 2θ = 10–90°:
2θ (°)	d (Å)	I_rel
17.2	5.156	8
18.4	4.823	100
34.8	2.578	14
36.3	2.478	12
36.6	2.453	12
41.9	2.157	31
44.1	2.054	28
44.6	2.030	26